No. 1
This entry pairs a crystal structure of AgHg2SeI2 with its theoretical powder X-ray diffraction pattern. Radiation: Cu Kα (λ = 1.5418 Å). Structure: a DFT-relaxed cell (GGA-PBE, Alexandria).

Crystal structure
```
data_AgHg2SeI2
_cell_length_a 16.8379
_cell_length_b 7.3461
_cell_length_c 6.5415
_cell_angle_alpha 90.00
_cell_angle_beta 90.00
_cell_angle_gamma 90.00
_symmetry_space_group_name_H-M 'C m c 21'
_symmetry_Int_Tables_number 36
loop_
_symmetry_equiv_pos_as_xyz
'x,y,z'
'-x,-y,z+1/2'
'-x,y,z'
'x,-y,z+1/2'
'x+1/2,y+1/2,z'
'-x+1/2,-y+1/2,z+1/2'
'-x+1/2,y+1/2,z'
'x+1/2,-y+1/2,z+1/2'
loop_
_atom_site_label
_atom_site_fract_x
_atom_site_fract_y
_atom_site_fract_z
_atom_site_occupancy
Ag1 0.0000 0.0008 0.0000 1
Hg1 0.1613 0.2809 0.7475 1
Se1 0.0000 0.2629 0.7490 1
I1 0.1641 0.2518 0.2478 1
```

The 8 most intense peaks (10 to 90 degrees two-theta), most intense first:
36.79°, rel. 100.0, (0 2 2); 49.47°, rel. 83.7, (6 2 2); 24.23°, rel. 79.2, (0 2 0); 31.89°, rel. 77.4, (6 0 0); 27.27°, rel. 63.3, (0 0 2); 40.44°, rel. 44.1, (6 2 0); 32.34°, rel. 39.3, (4 2 0); 18.91°, rel. 38.7, (1 1 1)



No. 2
This entry pairs a crystal structure of Cu3TeI9 with its theoretical powder X-ray diffraction pattern. Radiation: Cu Kα (λ = 1.5418 Å). Structure: a DFT-relaxed cell (GGA-PBE, Alexandria).

Crystal structure
```
data_Cu3TeI9
_cell_length_a 21.4774
_cell_length_b 9.0948
_cell_length_c 14.1121
_cell_angle_alpha 90.00
_cell_angle_beta 125.59
_cell_angle_gamma 90.00
_symmetry_space_group_name_H-M 'C 1 c 1'
_symmetry_Int_Tables_number 9
loop_
_symmetry_equiv_pos_as_xyz
'x,y,z'
'x,-y,z+1/2'
'x+1/2,y+1/2,z'
'x+1/2,-y+1/2,z+1/2'
loop_
_atom_site_label
_atom_site_fract_x
_atom_site_fract_y
_atom_site_fract_z
_atom_site_occupancy
Cu1 0.0000 0.0848 0.0000 1
Cu2 0.1317 0.3918 0.9407 1
Cu3 0.3659 0.1098 0.5550 1
Te1 0.2496 0.2506 0.7493 1
I1 0.0335 0.1802 0.8627 1
I2 0.1224 0.0372 0.6825 1
I3 0.1366 0.4907 0.6100 1
I4 0.2430 0.1407 0.5396 1
I5 0.2555 0.3600 0.9584 1
I6 0.3626 0.0100 0.8882 1
I7 0.3769 0.4636 0.8171 1
I8 0.4660 0.3181 0.6365 1
I9 0.4990 0.0012 0.2486 1
```

The 8 most intense peaks (10 to 90 degrees two-theta), most intense first:
15.03°, rel. 100.0, (1 1 1); 22.93°, rel. 52.8, (2 0 2); 25.32°, rel. 52.3, (4 0 -4); 27.25°, rel. 38.0, (3 1 -4); 28.33°, rel. 37.1, (4 2 0); 21.31°, rel. 36.4, (2 2 -1); 30.32°, rel. 30.6, (2 2 2); 44.13°, rel. 28.1, (9 1 -6)



Repeat the second record exactly.
This entry pairs a crystal structure of Cu3TeI9 with its theoretical powder X-ray diffraction pattern. Radiation: Cu Kα (λ = 1.5418 Å). Structure: a DFT-relaxed cell (GGA-PBE, Alexandria).

Crystal structure
```
data_Cu3TeI9
_cell_length_a 21.4774
_cell_length_b 9.0948
_cell_length_c 14.1121
_cell_angle_alpha 90.00
_cell_angle_beta 125.59
_cell_angle_gamma 90.00
_symmetry_space_group_name_H-M 'C 1 c 1'
_symmetry_Int_Tables_number 9
loop_
_symmetry_equiv_pos_as_xyz
'x,y,z'
'x,-y,z+1/2'
'x+1/2,y+1/2,z'
'x+1/2,-y+1/2,z+1/2'
loop_
_atom_site_label
_atom_site_fract_x
_atom_site_fract_y
_atom_site_fract_z
_atom_site_occupancy
Cu1 0.0000 0.0848 0.0000 1
Cu2 0.1317 0.3918 0.9407 1
Cu3 0.3659 0.1098 0.5550 1
Te1 0.2496 0.2506 0.7493 1
I1 0.0335 0.1802 0.8627 1
I2 0.1224 0.0372 0.6825 1
I3 0.1366 0.4907 0.6100 1
I4 0.2430 0.1407 0.5396 1
I5 0.2555 0.3600 0.9584 1
I6 0.3626 0.0100 0.8882 1
I7 0.3769 0.4636 0.8171 1
I8 0.4660 0.3181 0.6365 1
I9 0.4990 0.0012 0.2486 1
```

The 8 most intense peaks (10 to 90 degrees two-theta), most intense first:
15.03°, rel. 100.0, (1 1 1); 22.93°, rel. 52.8, (2 0 2); 25.32°, rel. 52.3, (4 0 -4); 27.25°, rel. 38.0, (3 1 -4); 28.33°, rel. 37.1, (4 2 0); 21.31°, rel. 36.4, (2 2 -1); 30.32°, rel. 30.6, (2 2 2); 44.13°, rel. 28.1, (9 1 -6)



What did the second record say?
This entry pairs a crystal structure of Cu3TeI9 with its theoretical powder X-ray diffraction pattern. Radiation: Cu Kα (λ = 1.5418 Å). Structure: a DFT-relaxed cell (GGA-PBE, Alexandria).

Crystal structure
```
data_Cu3TeI9
_cell_length_a 21.4774
_cell_length_b 9.0948
_cell_length_c 14.1121
_cell_angle_alpha 90.00
_cell_angle_beta 125.59
_cell_angle_gamma 90.00
_symmetry_space_group_name_H-M 'C 1 c 1'
_symmetry_Int_Tables_number 9
loop_
_symmetry_equiv_pos_as_xyz
'x,y,z'
'x,-y,z+1/2'
'x+1/2,y+1/2,z'
'x+1/2,-y+1/2,z+1/2'
loop_
_atom_site_label
_atom_site_fract_x
_atom_site_fract_y
_atom_site_fract_z
_atom_site_occupancy
Cu1 0.0000 0.0848 0.0000 1
Cu2 0.1317 0.3918 0.9407 1
Cu3 0.3659 0.1098 0.5550 1
Te1 0.2496 0.2506 0.7493 1
I1 0.0335 0.1802 0.8627 1
I2 0.1224 0.0372 0.6825 1
I3 0.1366 0.4907 0.6100 1
I4 0.2430 0.1407 0.5396 1
I5 0.2555 0.3600 0.9584 1
I6 0.3626 0.0100 0.8882 1
I7 0.3769 0.4636 0.8171 1
I8 0.4660 0.3181 0.6365 1
I9 0.4990 0.0012 0.2486 1
```

The 8 most intense peaks (10 to 90 degrees two-theta), most intense first:
15.03°, rel. 100.0, (1 1 1); 22.93°, rel. 52.8, (2 0 2); 25.32°, rel. 52.3, (4 0 -4); 27.25°, rel. 38.0, (3 1 -4); 28.33°, rel. 37.1, (4 2 0); 21.31°, rel. 36.4, (2 2 -1); 30.32°, rel. 30.6, (2 2 2); 44.13°, rel. 28.1, (9 1 -6)